Starting from a cell relaxed with GGA-PBE, the PXRD pattern of Na5B6C4 was simulated for copper Kα.
Intensities are scaled so that the largest is 100.

Cell: 4.9521 7.5801 8.9506 Å, 75.95 73.95 70.94°
Space group P-1 (No. 2)
One atom of each set of equivalent atoms:
1 Na 0.0000 0.0000 0.0000 [1 per cell]
2 Na 0.0000 0.5000 0.5000 [1 per cell]
3 Na 0.1992 0.1001 0.4997 [2 per cell]
4 Na 0.2016 0.5995 0.9981 [2 per cell]
5 Na 0.3981 0.1988 0.0021 [2 per cell]
6 Na 0.3993 0.7001 0.5021 [2 per cell]
7 B 0.0163 0.8504 0.7501 [2 per cell]
8 B 0.1654 0.7502 0.2503 [2 per cell]
9 B 0.2343 0.4502 0.7498 [2 per cell]
10 B 0.3581 0.3611 0.2500 [2 per cell]
11 B 0.3677 0.8501 0.7504 [2 per cell]
12 B 0.4305 0.0616 0.7501 [2 per cell]
13 C 0.0316 0.3524 0.2499 [2 per cell]
14 C 0.1681 0.2557 0.7498 [2 per cell]
15 C 0.2342 0.9475 0.2500 [2 per cell]
16 C 0.4259 0.5554 0.2507 [2 per cell]

Principal peaks in the range 2θ = 10–90°, sorted by position:
2θ/deg  d [Å]  I_rel  (hkl)
36.22  2.480  12.2  1 3 1
42.23  2.140  100.0  2 1 3
42.65  2.120  25.4  0 0 4
57.17  1.611  9.8  1 3 -3
65.10  1.433  5.7  0 5 1
65.23  1.430  11.5  3 4 2
77.82  1.227  8.3  2 1 7
80.73  1.190  7.5  2 6 4
80.91  1.188  6.3  0 5 5
81.07  1.186  8.5  3 4 6